This entry pairs a crystal structure of Ce2PaBi3 with its computed XRD peak list. Radiation: a wavelength of 1.5418 Å. Structure: the PBE geometry in Alexandria.
Neutral-atom scattering factors, no anomalous dispersion.

Main lines, most intense first (2θ from 5° to 70°):
two_theta  I (rel.)
27.67  100
39.53  79
64.64  38
48.93  29
57.14  14
9.14  3
20.01  2
23.90  2

Atomic structure:
a = 10.200 Å, b = 4.558 Å, c = 10.201 Å
α = 77.08°, β = 25.82°, γ = 77.10°
Element x y z (fractional)
Ce: 0.168 0.832 0.168
Ce: 0.832 0.168 0.832
Pa: 0.501 0.501 0.499
Bi: 0.001 0.001 0.999
Bi: 0.336 0.665 0.335
Bi: 0.665 0.336 0.664